Starting from the GGA+U geometry in the Materials Project, the powder XRD pattern of Li4MnCo2O7 was calculated for Cu Kα X-rays.
Peak positions follow from Bragg's law for the DFT cell and can differ from measured ones.

Cell and atoms:
a b c (Å): 15.261 2.895 12.938
angles (deg): 90.00 117.98 90.00
Space group Cm (No. 8)
Unique sites:
Li 0.000 0.000 0.000 [2 per cell]
Li 0.002 0.500 0.498 [2 per cell]
Li 0.073 0.500 0.845 [2 per cell]
Li 0.129 0.000 0.691 [2 per cell]
Li 0.213 0.500 0.561 [2 per cell]
Li 0.286 0.000 0.427 [2 per cell]
Li 0.370 0.500 0.304 [2 per cell]
Li 0.440 0.000 0.153 [2 per cell]
Mn 0.216 0.000 0.065 [2 per cell]
Mn 0.360 0.000 0.785 [2 per cell]
Co 0.070 0.000 0.372 [2 per cell]
Co 0.142 0.500 0.218 [2 per cell]
Co 0.288 0.500 0.925 [2 per cell]
Co 0.432 0.500 0.623 [2 per cell]
O 0.033 0.500 0.679 [2 per cell]
O 0.044 0.000 0.173 [2 per cell]
O 0.110 0.000 0.526 [2 per cell]
O 0.122 0.500 0.029 [2 per cell]
O 0.175 0.500 0.380 [2 per cell]
O 0.195 0.000 0.902 [2 per cell]
O 0.241 0.000 0.226 [2 per cell]
O 0.266 0.500 0.764 [2 per cell]
O 0.310 0.500 0.087 [2 per cell]
O 0.333 0.000 0.628 [2 per cell]
O 0.380 0.000 0.950 [2 per cell]
O 0.391 0.500 0.470 [2 per cell]
O 0.454 0.500 0.822 [2 per cell]
O 0.469 0.000 0.317 [2 per cell]

Most intense lines, 2θ from 10° to 80°, by intensity:
- d 4.887, I 100, (2 0 1)
- d 2.067, I 53, (5 1 -1)
- d 2.110, I 25, (2 0 -6)
- d 2.478, I 24, (3 1 -2)
- d 2.518, I 14, (4 0 -5)
- d 1.488, I 14, (3 1 5)
- d 1.465, I 12, (7 1 -7)
- d 1.603, I 9, (7 1 0)
- d 1.918, I 8, (1 1 4)
- d 1.448, I 7, (0 2 0)